# 1
Calculated powder XRD pattern of Ce2PuHg for a wavelength of 1.5418 Å, from DFT lattice parameters and positions (GGA-PBE).

abc: 5.4739 5.4739 3.4932
angles: 90.00 90.00 90.00
Sites, in units of the cell vectors:
Ce 0.0000 0.5000 0.0000
Ce 0.5000 0.0000 0.0000
Pu 0.0000 0.0000 0.5000
Hg 0.5000 0.5000 0.5000

Top 10 peaks for 5° ≤ 2θ ≤ 70°, by angle:
22.98 deg, intensity 6
25.50 deg, intensity 2
32.72 deg, intensity 58
34.59 deg, intensity 100
41.93 deg, intensity 3
46.95 deg, intensity 21
52.38 deg, intensity 8
59.61 deg, intensity 42
63.15 deg, intensity 18
68.57 deg, intensity 7

# 2
Calculated powder XRD pattern of CdPd3Pb3 for a wavelength of 1.5418 Å, from DFT lattice parameters and positions (GGA-PBE).

abc: 6.6560 6.6560 7.3342
angles: 90.72 90.72 101.10
Sites, in units of the cell vectors:
Cd 0.2413 0.2413 0.1432
Cd 0.7587 0.7587 0.8568
Pd 0.0059 0.5002 0.7131
Pd 0.4239 0.4239 0.8179
Pd 0.5002 0.0059 0.7131
Pd 0.4998 0.9941 0.2869
Pd 0.5761 0.5761 0.1821
Pd 0.9941 0.4998 0.2869
Pb 0.1048 0.1048 0.6818
Pb 0.2532 0.7468 0.0000
Pb 0.3404 0.6596 0.5000
Pb 0.6596 0.3404 0.5000
Pb 0.7468 0.2532 0.0000
Pb 0.8952 0.8952 0.3182

Top 10 peaks for 5° ≤ 2θ ≤ 70°, by angle:
28.09 deg, intensity 57
29.78 deg, intensity 29
29.94 deg, intensity 27
30.59 deg, intensity 30
31.99 deg, intensity 66
34.92 deg, intensity 53
35.43 deg, intensity 37
37.14 deg, intensity 100
43.15 deg, intensity 44
46.44 deg, intensity 29

# 3
Calculated powder XRD pattern of La3CdGa for a wavelength of 1.5418 Å, from DFT lattice parameters and positions (GGA-PBE).

abc: 9.8539 9.8539 7.2780
angles: 90.00 90.00 120.60
Sites, in units of the cell vectors:
La 0.0963 0.7984 0.0000
La 0.1922 0.3075 0.5000
La 0.2016 0.9037 0.5000
La 0.2947 0.5909 0.0000
La 0.3075 0.1922 0.0000
La 0.4091 0.7053 0.5000
La 0.5909 0.2947 0.5000
La 0.6925 0.8078 0.0000
La 0.7053 0.4091 0.0000
La 0.7984 0.0963 0.5000
La 0.8078 0.6925 0.5000
La 0.9037 0.2016 0.0000
Cd 0.0000 0.5000 0.3052
Cd 0.0000 0.5000 0.6948
Cd 0.5000 0.0000 0.1948
Cd 0.5000 0.0000 0.8052
Ga 0.0000 0.0000 0.2500
Ga 0.0000 0.0000 0.7500
Ga 0.5000 0.5000 0.2500
Ga 0.5000 0.5000 0.7500

Top 10 peaks for 5° ≤ 2θ ≤ 70°, by angle:
24.46 deg, intensity 30
27.72 deg, intensity 38
30.27 deg, intensity 79
30.54 deg, intensity 84
32.29 deg, intensity 66
32.42 deg, intensity 100
36.47 deg, intensity 63
36.82 deg, intensity 24
49.51 deg, intensity 25
55.63 deg, intensity 39

# 4
Calculated powder XRD pattern of TbGa2CuAu4 for a wavelength of 1.5418 Å, from DFT lattice parameters and positions (GGA-PBE).

abc: 8.8822 8.8822 8.8822
angles: 29.31 29.31 29.31
Sites, in units of the cell vectors:
Tb 0.0000 0.0000 0.0000
Ga 0.2460 0.2460 0.2460
Ga 0.7540 0.7540 0.7540
Cu 0.5000 0.5000 0.5000
Au 0.1339 0.1339 0.1339
Au 0.3952 0.3952 0.3952
Au 0.6048 0.6048 0.6048
Au 0.8661 0.8661 0.8661

Top 10 peaks for 5° ≤ 2θ ≤ 70°, by angle:
26.84 deg, intensity 27
28.86 deg, intensity 16
33.71 deg, intensity 26
36.45 deg, intensity 84
40.13 deg, intensity 100
45.57 deg, intensity 17
53.38 deg, intensity 7
55.32 deg, intensity 25
68.83 deg, intensity 7
69.34 deg, intensity 19